Entry 1:
Diffraction record for Tb10Sm4Sc. The powder XRD pattern is calculated, not measured: it uses a cell relaxed with GGA-PBE and Cu Kα (λ = 1.5418 Å).
Intensities are scaled so that the largest is 100.

Peak list (12 most intense, 10° ≤ 2θ ≤ 80°, by angle)
- 3.597 Å, rel. 36
- 3.181 Å, rel. 69
- 2.918 Å, rel. 28
- 2.844 Å, rel. 100
- 2.776 Å, rel. 91
- 2.681 Å, rel. 30
- 2.625 Å, rel. 33
- 2.198 Å, rel. 44
- 1.700 Å, rel. 40
- 1.591 Å, rel. 25
- 1.459 Å, rel. 28
- 1.392 Å, rel. 29

a = 8.9122 Å, b = 8.9122 Å, c = 8.9122 Å
α = 100.69°, β = 100.69°, γ = 128.99°
Fractional positions:
Tb (0.0063, 0.2146, 0.7917)
Tb (0.2146, 0.0063, 0.7917)
Tb (0.2146, 0.4228, 0.2083)
Tb (0.2500, 0.7500, 0.5000)
Tb (0.4228, 0.2146, 0.2083)
Tb (0.5772, 0.7854, 0.7917)
Tb (0.7500, 0.2500, 0.5000)
Tb (0.7854, 0.5772, 0.7917)
Tb (0.7854, 0.9937, 0.2083)
Tb (0.9937, 0.7854, 0.2083)
Sm (0.2688, 0.2688, 0.5376)
Sm (0.2688, 0.7312, 0.0000)
Sm (0.7312, 0.2688, 0.0000)
Sm (0.7312, 0.7312, 0.4624)
Sc (0.5000, 0.5000, 0.0000)



Entry 2:
Diffraction record for Ba6Hf5S16. The powder XRD pattern is calculated, not measured: it uses a cell relaxed with GGA-PBE and Cu Kα (λ = 1.5418 Å).
Intensities are scaled so that the largest is 100.

Peak list (12 most intense, 10° ≤ 2θ ≤ 80°, by angle)
- 3.563 Å, rel. 100
- 3.541 Å, rel. 59
- 2.535 Å, rel. 22
- 2.504 Å, rel. 49
- 2.061 Å, rel. 20
- 2.048 Å, rel. 45
- 1.781 Å, rel. 28
- 1.770 Å, rel. 17
- 1.584 Å, rel. 22
- 1.451 Å, rel. 14
- 1.343 Å, rel. 10
- 1.339 Å, rel. 12

a = 28.1114 Å, b = 28.1114 Å, c = 28.1114 Å
α = 169.78°, β = 169.78°, γ = 14.47°
Fractional positions:
Ba (0.0444, 0.0444, 0.0000)
Ba (0.1324, 0.1324, 0.0000)
Ba (0.2178, 0.2178, 0.0000)
Ba (0.7822, 0.7822, 0.0000)
Ba (0.8676, 0.8676, 0.0000)
Ba (0.9556, 0.9556, 0.0000)
Hf (0.3187, 0.3187, 0.0000)
Hf (0.4097, 0.4097, 0.0000)
Hf (0.5000, 0.5000, 0.0000)
Hf (0.5903, 0.5903, 0.0000)
Hf (0.6813, 0.6813, 0.0000)
S (0.0000, 0.5000, 0.5000)
S (0.0896, 0.5896, 0.5000)
S (0.1789, 0.6789, 0.5000)
S (0.2741, 0.2741, 0.0000)
S (0.3211, 0.8211, 0.5000)
S (0.3651, 0.3651, 0.0000)
S (0.4104, 0.9104, 0.5000)
S (0.4551, 0.4551, 0.0000)
S (0.5000, 0.0000, 0.5000)
S (0.5449, 0.5449, 0.0000)
S (0.5896, 0.0896, 0.5000)
S (0.6349, 0.6349, 0.0000)
S (0.6789, 0.1789, 0.5000)
S (0.7259, 0.7259, 0.0000)
S (0.8211, 0.3211, 0.5000)
S (0.9104, 0.4104, 0.5000)



Entry 3:
Diffraction record for Rb2YCd2Te4. The powder XRD pattern is calculated, not measured: it uses a cell relaxed with GGA-PBE and Cu Kα (λ = 1.5418 Å).
Intensities are scaled so that the largest is 100.

Peak list (12 most intense, 10° ≤ 2θ ≤ 80°, by angle)
- 8.285 Å, rel. 62
- 3.727 Å, rel. 24
- 3.687 Å, rel. 30
- 3.175 Å, rel. 79
- 3.065 Å, rel. 100
- 2.938 Å, rel. 37
- 2.704 Å, rel. 25
- 2.487 Å, rel. 26
- 2.376 Å, rel. 29
- 2.252 Å, rel. 39
- 2.176 Å, rel. 34
- 1.933 Å, rel. 23

a = 9.1142 Å, b = 9.1142 Å, c = 9.0205 Å
α = 112.54°, β = 112.54°, γ = 28.61°
Fractional positions:
Rb (0.1274, 0.1274, 0.0691)
Rb (0.8726, 0.8726, 0.9309)
Y (0.0000, 0.0000, 0.5000)
Cd (0.3117, 0.3117, 0.4939)
Cd (0.6883, 0.6883, 0.5061)
Te (0.1880, 0.1880, 0.7162)
Te (0.4798, 0.4798, 0.7254)
Te (0.5202, 0.5202, 0.2746)
Te (0.8120, 0.8120, 0.2838)



Entry 4:
Diffraction record for Li3Tl2Pd3. The powder XRD pattern is calculated, not measured: it uses a cell relaxed with GGA-PBE and Cu Kα (λ = 1.5418 Å).
Intensities are scaled so that the largest is 100.

Peak list (12 most intense, 10° ≤ 2θ ≤ 80°, by angle)
- 7.456 Å, rel. 6
- 3.894 Å, rel. 4
- 3.729 Å, rel. 72
- 2.963 Å, rel. 2
- 2.486 Å, rel. 2
- 2.283 Å, rel. 100
- 2.183 Å, rel. 2
- 1.947 Å, rel. 37
- 1.614 Å, rel. 17
- 1.482 Å, rel. 16
- 1.318 Å, rel. 35
- 1.243 Å, rel. 12

a = 7.9089 Å, b = 7.9089 Å, c = 7.9089 Å
α = 33.56°, β = 33.56°, γ = 33.56°
Fractional positions:
Li (0.0000, 0.0000, 0.0000)
Li (0.1269, 0.1269, 0.1269)
Li (0.6209, 0.6209, 0.6209)
Tl (0.3734, 0.3734, 0.3734)
Tl (0.8740, 0.8740, 0.8740)
Pd (0.2488, 0.2488, 0.2488)
Pd (0.4985, 0.4985, 0.4985)
Pd (0.7482, 0.7482, 0.7482)



Entry 5:
Diffraction record for Ac3Pr3TlAg2. The powder XRD pattern is calculated, not measured: it uses a cell relaxed with GGA-PBE and Cu Kα (λ = 1.5418 Å).
Intensities are scaled so that the largest is 100.

Peak list (12 most intense, 10° ≤ 2θ ≤ 80°, by angle)
- 3.226 Å, rel. 100
- 2.954 Å, rel. 68
- 2.780 Å, rel. 29
- 2.480 Å, rel. 29
- 2.452 Å, rel. 43
- 2.425 Å, rel. 28
- 1.952 Å, rel. 10
- 1.851 Å, rel. 18
- 1.744 Å, rel. 31
- 1.598 Å, rel. 33
- 1.541 Å, rel. 12
- 1.277 Å, rel. 12

a = 8.4943 Å, b = 8.4943 Å, c = 4.9600 Å
α = 90.00°, β = 90.00°, γ = 120.00°
Fractional positions:
Ac (0.0000, 0.7228, 0.0000)
Ac (0.2772, 0.2772, 0.0000)
Ac (0.7228, 0.0000, 0.0000)
Pr (0.0000, 0.4021, 0.5000)
Pr (0.4021, 0.0000, 0.5000)
Pr (0.5979, 0.5979, 0.5000)
Tl (0.0000, 0.0000, 0.5000)
Ag (0.3333, 0.6667, 0.0000)
Ag (0.6667, 0.3333, 0.0000)



Entry 6:
Diffraction record for SrRuPtO6. The powder XRD pattern is calculated, not measured: it uses a cell relaxed with GGA-PBE and Cu Kα (λ = 1.5418 Å).
Intensities are scaled so that the largest is 100.

Peak list (12 most intense, 10° ≤ 2θ ≤ 80°, by angle)
- 5.302 Å, rel. 41
- 4.607 Å, rel. 16
- 3.478 Å, rel. 100
- 2.660 Å, rel. 44
- 2.651 Å, rel. 12
- 2.377 Å, rel. 24
- 2.113 Å, rel. 23
- 1.878 Å, rel. 49
- 1.654 Å, rel. 23
- 1.650 Å, rel. 11
- 1.536 Å, rel. 14
- 1.329 Å, rel. 16

a = 5.3194 Å, b = 5.3194 Å, c = 5.3022 Å
α = 90.00°, β = 90.00°, γ = 120.00°
Fractional positions:
Sr (0.0000, 0.0000, 0.0000)
Ru (0.3333, 0.6667, 0.5000)
Pt (0.6667, 0.3333, 0.5000)
O (0.0073, 0.3812, 0.7026)
O (0.0073, 0.6261, 0.2974)
O (0.3739, 0.3812, 0.2974)
O (0.3739, 0.9927, 0.7026)
O (0.6188, 0.6261, 0.7026)
O (0.6188, 0.9927, 0.2974)